# DyCrBrO4
Simulated X-ray diffraction stick pattern, Cu Ka. Input: a PBE+U-relaxed structure.
No peak broadening, texture or thermal motion is included.

Crystal structure
```
data_DyCrBrO4
_chemical_formula_sum 'Dy4 Cr4 Br4 O16'
_cell_length_a 10.2131
_cell_length_b 7.1644
_cell_length_c 6.7440
_cell_angle_alpha 90.00
_cell_angle_beta 104.96
_cell_angle_gamma 90.00
_space_group_name_H-M_alt 'C 1 2/m 1'
_space_group_IT_number 12
loop_
_space_group_symop_operation_xyz
'x,y,z'
'-x,-y,-z'
'-x,y,-z'
'x,-y,z'
'x+1/2,y+1/2,z'
'-x+1/2,-y+1/2,-z'
'-x+1/2,y+1/2,-z'
'x+1/2,-y+1/2,z'
loop_
_atom_site_label
_atom_site_fract_x
_atom_site_fract_y
_atom_site_fract_z
_atom_site_occupancy
Dy1 0.2335 0.0000 0.1214 1
Cr1 0.1387 0.5000 0.2674 1
Br1 0.0161 0.0000 0.7546 1
O1 0.0273 0.5000 0.7732 1
O2 0.1897 0.3166 0.1464 1
O3 0.2094 0.5000 0.5156 1
```

Principal peaks in the range 10 to 90 degrees two-theta, sorted by position:
| two_theta | I_rel | h k l |
| --- | --- | --- |
| 13.6 | 589 | 0 0 1 |
| 18.0 | 270 | 2 0 0 |
| 18.9 | 192 | 1 1 -1 |
| 24.9 | 1000 | 0 2 0 |
| 25.3 | 324 | 2 0 1 |
| 29.3 | 194 | 1 1 -2 |
| 29.8 | 572 | 3 1 -1 |
| 33.5 | 334 | 1 1 2 |
| 35.7 | 599 | 3 1 -2 |
| 47.0 | 197 | 3 3 -1 |